Record 1
Diffraction record for TbLuSnAu. The powder diffractogram is simulated, not measured: it uses a cell relaxed with PBE and Cu Kα X-rays.

Crystal structure
a = 5.1814 Å, b = 5.1814 Å, c = 5.1814 Å
α = 60.00°, β = 60.00°, γ = 60.00°
Element x y z (fractional)
Tb1 0.0000 0.0000 0.0000
Lu1 0.5000 0.5000 0.5000
Sn1 0.7500 0.7500 0.7500
Au1 0.2500 0.2500 0.2500

Principal peaks in the range 2θ = 10–80°, by angle:
2theta	intensity
21.00	3
34.62	100
40.84	2
49.77	18
54.59	1
62.05	38
66.28	1
73.05	12
76.99	1

---

Record 2
Diffraction record for Lu6Te2Au. The powder diffractogram is simulated, not measured: it uses a cell relaxed with PBE and Cu Kα X-rays.

Crystal structure
a = 21.2852 Å, b = 3.9976 Å, c = 11.3483 Å
α = 90.00°, β = 90.00°, γ = 90.00°
Element x y z (fractional)
Lu1 0.0077 0.2500 0.1105
Lu2 0.0258 0.7500 0.3779
Lu3 0.1085 0.2500 0.8138
Lu4 0.1394 0.7500 0.0618
Lu5 0.1579 0.2500 0.5304
Lu6 0.2328 0.7500 0.7404
Lu7 0.2672 0.2500 0.2404
Lu8 0.3421 0.7500 0.0304
Lu9 0.3606 0.2500 0.5618
Lu10 0.3915 0.7500 0.3138
Lu11 0.4742 0.2500 0.8779
Lu12 0.4923 0.7500 0.6105
Lu13 0.5077 0.2500 0.3895
Lu14 0.5258 0.7500 0.1221
Lu15 0.6085 0.2500 0.6862
Lu16 0.6394 0.7500 0.4382
Lu17 0.6579 0.2500 0.9696
Lu18 0.7328 0.7500 0.7596
Lu19 0.7672 0.2500 0.2596
Lu20 0.8421 0.7500 0.4696
Lu21 0.8606 0.2500 0.9382
Lu22 0.8915 0.7500 0.1862
Lu23 0.9742 0.2500 0.6221
Lu24 0.9923 0.7500 0.8895
Te1 0.1260 0.2500 0.2688
Te2 0.2365 0.2500 0.9571
Te3 0.2635 0.7500 0.4571
Te4 0.3740 0.7500 0.7688
Te5 0.6260 0.2500 0.2312
Te6 0.7365 0.2500 0.5429
Te7 0.7635 0.7500 0.0429
Te8 0.8740 0.7500 0.7312
Au1 0.0753 0.7500 0.6307
Au2 0.4247 0.2500 0.1307
Au3 0.5753 0.7500 0.8693
Au4 0.9247 0.2500 0.3693

Principal peaks in the range 2θ = 10–80°, by angle:
2theta	intensity
30.11	52
31.70	100
32.65	77
33.71	72
34.61	94
35.02	37
37.41	30
45.37	50
57.02	26
61.75	20

---

Record 3
Diffraction record for Mg3Au13. The powder diffractogram is simulated, not measured: it uses a cell relaxed with PBE and Cu Kα X-rays.

Crystal structure
a = 4.1411 Å, b = 4.1411 Å, c = 16.6626 Å
α = 90.00°, β = 90.00°, γ = 90.00°
Element x y z (fractional)
Mg1 0.0000 0.0000 0.0000
Mg2 0.0000 0.0000 0.2546
Mg3 0.5000 0.5000 0.7536
Au1 0.0000 0.0000 0.5056
Au2 0.0000 0.0000 0.7531
Au3 0.0000 0.5000 0.1280
Au4 0.0000 0.5000 0.3742
Au5 0.0000 0.5000 0.6311
Au6 0.0000 0.5000 0.8782
Au7 0.5000 0.0000 0.1280
Au8 0.5000 0.0000 0.3742
Au9 0.5000 0.0000 0.6311
Au10 0.5000 0.0000 0.8782
Au11 0.5000 0.5000 0.0057
Au12 0.5000 0.5000 0.2510
Au13 0.5000 0.5000 0.4992

Principal peaks in the range 2θ = 10–80°, by angle:
2theta	intensity
22.12	8
26.85	4
34.56	4
37.55	100
43.45	17
43.72	33
63.34	22
63.55	11
75.83	13
76.21	26

---

Record 4
Diffraction record for Mg4Au. The powder diffractogram is simulated, not measured: it uses a cell relaxed with PBE and Cu Kα X-rays.

Crystal structure
a = 5.4543 Å, b = 5.4543 Å, c = 5.4543 Å
α = 109.47°, β = 109.47°, γ = 109.47°
Element x y z (fractional)
Mg1 0.0000 0.0000 0.5000
Mg2 0.0000 0.5000 0.0000
Mg3 0.5000 0.0000 0.0000
Mg4 0.5000 0.5000 0.5000
Au1 0.0000 0.0000 0.0000

Principal peaks in the range 2θ = 10–80°, by angle:
2theta	intensity
19.94	100
34.89	51
40.51	39
45.55	24
54.52	29
58.63	7
62.57	14
70.08	7
73.69	13
77.24	16

---

Record 5
Diffraction record for MgAu2. The powder diffractogram is simulated, not measured: it uses a cell relaxed with PBE and Cu Kα X-rays.

Crystal structure
a = 10.5554 Å, b = 10.5554 Å, c = 10.5554 Å
α = 161.64°, β = 161.64°, γ = 26.07°
Element x y z (fractional)
Mg1 0.3750 0.6250 0.7500
Mg2 0.6250 0.3750 0.2500
Au1 0.0542 0.8042 0.2500
Au2 0.1958 0.9458 0.2500
Au3 0.8042 0.0542 0.7500
Au4 0.9458 0.1958 0.7500

Principal peaks in the range 2θ = 10–80°, by angle:
2theta	intensity
26.83	100
34.42	35
34.90	26
38.82	53
40.76	55
46.44	46
54.50	24
61.77	20
70.24	22
76.14	18

---

Record 6
Diffraction record for MgAu3. The powder diffractogram is simulated, not measured: it uses a cell relaxed with PBE and Cu Kα X-rays.

Crystal structure
a = 3.4503 Å, b = 3.5599 Å, c = 5.8949 Å
α = 90.00°, β = 90.00°, γ = 90.00°
Element x y z (fractional)
Mg1 0.0000 0.0000 0.0000
Au1 0.0000 0.0000 0.5000
Au2 0.5000 0.5000 0.2429
Au3 0.5000 0.5000 0.7571

Principal peaks in the range 2θ = 10–80°, by angle:
2theta	intensity
15.03	25
29.31	16
36.26	100
39.70	78
40.24	75
51.33	19
53.09	17
67.16	34
68.29	32
74.98	24

---

Record 7
Diffraction record for Mg4Au5. The powder diffractogram is simulated, not measured: it uses a cell relaxed with PBE and Cu Kα X-rays.

Crystal structure
a = 6.8648 Å, b = 6.8648 Å, c = 3.7373 Å
α = 105.69°, β = 105.69°, γ = 83.48°
Element x y z (fractional)
Mg1 0.0070 0.6738 0.8404
Mg2 0.3262 0.9930 0.1596
Mg3 0.6738 0.0070 0.8404
Mg4 0.9930 0.3262 0.1596
Au1 0.0000 0.0000 0.5000
Au2 0.3180 0.3180 0.8181
Au3 0.3321 0.6679 0.5000
Au4 0.6679 0.3321 0.5000
Au5 0.6820 0.6820 0.1819

Principal peaks in the range 2θ = 10–80°, by angle:
2theta	intensity
18.59	19
19.42	24
25.60	31
25.75	26
30.80	20
37.10	100
38.11	96
41.01	76
48.73	28
73.42	28

---

Record 8
Diffraction record for Mg3Au8. The powder diffractogram is simulated, not measured: it uses a cell relaxed with PBE and Cu Kα X-rays.

Crystal structure
a = 5.1232 Å, b = 5.1232 Å, c = 10.6301 Å
α = 103.63°, β = 103.63°, γ = 46.72°
Element x y z (fractional)
Mg1 0.0000 0.0000 0.0000
Mg2 0.0991 0.0991 0.6421
Mg3 0.9009 0.9009 0.3579
Au1 0.1828 0.1828 0.2738
Au2 0.2753 0.2753 0.9110
Au3 0.3712 0.3712 0.5462
Au4 0.4555 0.4555 0.1812
Au5 0.5445 0.5445 0.8188
Au6 0.6288 0.6288 0.4538
Au7 0.7247 0.7247 0.0890
Au8 0.8172 0.8172 0.7262

Principal peaks in the range 2θ = 10–80°, by angle:
2theta	intensity
23.99	13
37.56	100
42.90	17
43.42	17
44.61	16
62.69	11
63.61	11
75.06	13
75.80	13
77.50	13

---

Record 9
Diffraction record for MgAuN. The powder diffractogram is simulated, not measured: it uses a cell relaxed with PBE and Cu Kα X-rays.

Crystal structure
a = 4.6145 Å, b = 2.8780 Å, c = 8.4657 Å
α = 90.00°, β = 105.70°, γ = 90.00°
Element x y z (fractional)
Mg1 0.1405 0.0000 0.2797
Mg2 0.8595 0.0000 0.7203
Au1 0.3032 0.5000 0.6067
Au2 0.6968 0.5000 0.3933
N1 0.0366 0.5000 0.0726
N2 0.9634 0.5000 0.9274

Principal peaks in the range 2θ = 10–80°, by angle:
2theta	intensity
10.86	100
25.32	35
31.08	15
33.00	18
33.66	28
39.04	13
40.50	34
40.64	9
43.53	10
46.46	20

---

Record 10
Diffraction record for MgAuN. The powder diffractogram is simulated, not measured: it uses a cell relaxed with PBE and Cu Kα X-rays.

Crystal structure
a = 2.9746 Å, b = 2.9746 Å, c = 10.4489 Å
α = 93.58°, β = 93.58°, γ = 70.12°
Element x y z (fractional)
Mg1 0.1022 0.1022 0.3239
Mg2 0.8978 0.8978 0.6761
Au1 0.2974 0.2974 0.8813
Au2 0.7026 0.7026 0.1187
N1 0.4885 0.4885 0.4391
N2 0.5115 0.5115 0.5609

Principal peaks in the range 2θ = 10–80°, by angle:
2theta	intensity
25.65	23
32.81	57
34.43	43
35.79	100
37.17	53
38.72	42
42.40	54
53.66	26
61.64	19
63.62	27

---

Record 11
Diffraction record for MgPd2AuN. The powder diffractogram is simulated, not measured: it uses a cell relaxed with PBE and Cu Kα X-rays.

Crystal structure
a = 4.2092 Å, b = 4.2092 Å, c = 4.1329 Å
α = 90.00°, β = 90.00°, γ = 90.00°
Element x y z (fractional)
Mg1 0.0000 0.0000 0.0000
Pd1 0.0000 0.5000 0.5000
Pd2 0.5000 0.0000 0.5000
Au1 0.5000 0.5000 0.0000
N1 0.0000 0.0000 0.5000

Principal peaks in the range 2θ = 10–80°, by angle:
2theta	intensity
21.11	27
30.31	33
37.23	100
42.98	38
43.81	18
53.49	13
63.05	24
74.96	26
76.14	13
79.34	12

---

Record 12
Diffraction record for Mg2ScAuN. The powder diffractogram is simulated, not measured: it uses a cell relaxed with PBE and Cu Kα X-rays.

Crystal structure
a = 4.3031 Å, b = 4.3031 Å, c = 4.3463 Å
α = 90.00°, β = 90.00°, γ = 90.00°
Element x y z (fractional)
Mg1 0.0000 0.5000 0.0000
Mg2 0.5000 0.0000 0.0000
Sc1 0.0000 0.0000 0.5000
Au1 0.5000 0.5000 0.5000
N1 0.0000 0.0000 0.0000

Principal peaks in the range 2θ = 10–80°, by angle:
2theta	intensity
20.43	40
20.64	45
29.20	61
29.35	46
36.03	100
41.99	39
47.17	32
51.97	25
60.56	26
72.83	26

---

Record 13
Diffraction record for NaMg2AuO4. The powder diffractogram is simulated, not measured: it uses a cell relaxed with PBE and Cu Kα X-rays.

Crystal structure
a = 5.1121 Å, b = 5.1121 Å, c = 5.1121 Å
α = 114.66°, β = 114.66°, γ = 99.53°
Element x y z (fractional)
Na1 0.0000 0.0000 0.0000
Mg1 0.2500 0.7500 0.5000
Mg2 0.7500 0.2500 0.5000
Au1 0.5000 0.5000 0.0000
O1 0.1312 0.1312 0.5087
O2 0.3775 0.8688 0.0000
O3 0.6225 0.6225 0.4914
O4 0.8688 0.3775 0.0000

Principal peaks in the range 2θ = 10–80°, by angle:
2theta	intensity
20.98	100
22.79	39
32.45	24
35.62	71
38.96	42
42.70	16
46.54	23
55.97	15
59.95	31
65.93	15

---

Record 14
Diffraction record for Na2MgAuO4. The powder diffractogram is simulated, not measured: it uses a cell relaxed with PBE and Cu Kα X-rays.

Crystal structure
a = 5.1729 Å, b = 5.1729 Å, c = 5.1729 Å
α = 108.72°, β = 108.72°, γ = 110.99°
Element x y z (fractional)
Na1 0.0000 0.5000 0.5000
Na2 0.5000 0.0000 0.5000
Mg1 0.0000 0.0000 0.0000
Au1 0.5000 0.5000 0.0000
O1 0.0741 0.0741 0.6713
O2 0.4028 0.4028 0.3287
O3 0.5972 0.9259 0.0000
O4 0.9259 0.5972 0.0000

Principal peaks in the range 2θ = 10–80°, by angle:
2theta	intensity
20.84	69
21.14	100
29.64	45
30.51	15
36.69	59
37.23	22
42.41	25
43.05	52
53.13	21
57.69	21